Entry 1:
# AlHgB
Computed powder diffractogram, Cu Kα, 1.54184 Å. Input: a crystal structure in Alexandria, relaxed with PBE.
Peak positions follow from Bragg's law for the DFT cell and can differ from measured ones.

Main lines, low angle first (2θ = 10–90°):
| d (Å) | Position (°2θ) | I (rel.) | h k l |
| --- | --- | --- | --- |
| 6.502 | 13.6 | 100 | 0 0 1 |
| 3.635 | 24.5 | 27 | 1 0 1 |
| 3.516 | 25.3 | 32 | 0 1 1 |
| 3.213 | 27.8 | 42 | 1 1 0 |
| 3.148 | 28.3 | 23 | 1 1 1 |
| 2.787 | 32.1 | 26 | 1 0 2 |
| 2.671 | 33.6 | 27 | 1 1 -1 |
| 2.581 | 34.8 | 33 | 0 1 2 |
| 2.437 | 36.9 | 25 | 1 -1 1 |
| 2.233 | 40.4 | 23 | 1 0 -2 |

Structure:
a b c (Å): 4.0156 4.2665 6.6887
angles (deg): 85.25 76.49 74.87
Fractional coordinates of all 6 atoms:
Al  0.1637  0.1923  0.0763
Al  0.8363  0.8077  0.9237
Hg  0.2418  0.7120  0.4025
Hg  0.7582  0.2880  0.5975
B  0.3282  0.6615  0.0250
B  0.6718  0.3385  0.9750


Entry 2:
# AlHgB
Computed powder diffractogram, Cu Kα, 1.54184 Å. Input: a crystal structure in Alexandria, relaxed with PBE.
Peak positions follow from Bragg's law for the DFT cell and can differ from measured ones.

Main lines, low angle first (2θ = 10–90°):
| d (Å) | Position (°2θ) | I (rel.) | h k l |
| --- | --- | --- | --- |
| 6.007 | 14.7 | 100 | 0 1 0 |
| 3.003 | 29.7 | 25 | 0 2 0 |
| 2.973 | 30.1 | 39 | 1 0 0 |
| 2.945 | 30.3 | 33 | 0 0 2 |
| 2.731 | 32.8 | 24 | 0 1 2 |
| 2.686 | 33.4 | 29 | 1 -1 0 |
| 2.565 | 35.0 | 15 | 0 1 -2 |
| 2.420 | 37.2 | 23 | 1 0 2 |
| 2.138 | 42.3 | 14 | 1 2 1 |
| 2.131 | 42.4 | 14 | 1 -2 0 |

Structure:
a b c (Å): 3.0720 6.0257 6.1025
angles (deg): 85.55 75.53 89.79
Fractional coordinates of all 6 atoms:
Al  0.0000  0.0000  0.0000
Al  0.2083  0.2068  0.5838
Hg  0.1841  0.6716  0.6320
Hg  0.9246  0.5699  0.1534
B  0.3870  0.1306  0.2251
B  0.8424  0.1797  0.3143


Entry 3:
# AlVHgB2
Computed powder diffractogram, Cu Kα, 1.54184 Å. Input: a crystal structure in Alexandria, relaxed with PBE.
Peak positions follow from Bragg's law for the DFT cell and can differ from measured ones.

Main lines, low angle first (2θ = 10–90°):
| d (Å) | Position (°2θ) | I (rel.) | h k l |
| --- | --- | --- | --- |
| 5.028 | 17.6 | 35 | 0 0 1 |
| 4.106 | 21.6 | 26 | 1 0 0 |
| 3.180 | 28.1 | 100 | 1 0 1 |
| 2.904 | 30.8 | 54 | 1 1 0 |
| 2.514 | 35.7 | 63 | 0 0 2 |
| 2.053 | 44.1 | 25 | 2 0 0 |
| 1.901 | 47.9 | 45 | 1 1 2 |
| 1.725 | 53.1 | 34 | 2 1 1 |
| 1.590 | 58.0 | 22 | 2 0 2 |
| 1.257 | 75.6 | 22 | 2 2 2 |

Structure:
a b c (Å): 4.1063 4.1063 5.0280
angles (deg): 90.00 90.00 90.00
Fractional coordinates of all 5 atoms:
Al  0.0000  0.0000  0.0000
V  0.0000  0.0000  0.5000
Hg  0.5000  0.5000  0.0000
B  0.0000  0.5000  0.5000
B  0.5000  0.0000  0.5000


- Number 1 is which compound?
  AlHgB


- What is the formula in the second record?
  AlHgB